# CoP2O7
Theoretical X-ray diffraction stick pattern, Cu Kα X-rays. Input: the GGA+U geometry in OQMD.
Kinematic intensities with the Lorentz-polarization factor, no thermal factor.

Peak list (6 most intense, 2θ = 10–90°, low angle first)
2theta  intensity
17.84  100
18.50  62
23.84  49
27.57  27
31.17  59
32.18  31

Atomic structure:
a b c (Å): 4.607 6.629 7.618
angles (deg): 91.23 92.86 106.02
Sites, in units of the cell vectors:
Co1 0.000 0.000 0.000
Co2 0.500 0.500 0.500
P1 0.032 0.643 0.264
P2 0.390 0.758 0.810
P3 0.610 0.242 0.190
P4 0.968 0.357 0.736
O1 0.134 0.324 0.573
O2 0.155 0.839 0.162
O3 0.193 0.530 0.865
O4 0.196 0.912 0.816
O5 0.308 0.557 0.299
O6 0.344 0.215 0.053
O7 0.460 0.747 0.616
O8 0.540 0.253 0.384
O9 0.656 0.785 0.947
O10 0.692 0.443 0.701
O11 0.804 0.088 0.184
O12 0.807 0.470 0.135
O13 0.845 0.161 0.838
O14 0.866 0.676 0.427